Tb6NdIn6: theoretical powder diffraction line list (Cu Kα (λ = 1.5418 Å)), based on a GGA-PBE-relaxed structure.
Kinematic intensities with the Lorentz-polarization factor, no thermal factor.

Peak list (10 most intense, 5° ≤ 2θ ≤ 70°, by angle)
two_theta, d [Å], I_rel
28.42, 3.141, 48
29.69, 3.009, 27
32.95, 2.718, 100
33.07, 2.709, 24
37.01, 2.429, 90
37.97, 2.370, 14
53.27, 1.719, 17
58.80, 1.570, 27
59.00, 1.565, 29
69.13, 1.359, 20

Structural model:
a b c (Å): 6.2813 6.2813 10.8345
angles (deg): 90.00 90.00 120.00
Fractional positions:
Tb (0.0000, 0.0000, 0.1617)
Tb (0.0000, 0.0000, 0.8383)
Tb (0.3333, 0.6667, 0.0000)
Tb (0.3333, 0.6667, 0.5000)
Tb (0.6667, 0.3333, 0.0000)
Tb (0.6667, 0.3333, 0.5000)
Nd (0.0000, 0.0000, 0.5000)
In (0.0000, 0.5000, 0.2545)
In (0.0000, 0.5000, 0.7455)
In (0.5000, 0.0000, 0.2545)
In (0.5000, 0.0000, 0.7455)
In (0.5000, 0.5000, 0.2545)
In (0.5000, 0.5000, 0.7455)

---

SrAl2S4: theoretical powder diffraction line list (Cu Kα (λ = 1.5418 Å)), based on a GGA-PBE-relaxed structure.
Kinematic intensities with the Lorentz-polarization factor, no thermal factor.

Peak list (10 most intense, 5° ≤ 2θ ≤ 70°, by angle)
two_theta, d [Å], I_rel
17.06, 5.199, 82
23.67, 3.759, 30
23.91, 3.721, 65
29.37, 3.041, 26
30.52, 2.929, 100
33.64, 2.664, 26
33.81, 2.651, 25
37.93, 2.372, 36
38.53, 2.336, 99
58.01, 1.590, 34

Structural model:
a b c (Å): 6.0838 6.0838 10.6578
angles (deg): 90.00 90.00 121.29
Fractional positions:
Sr (0.0000, 0.0000, 0.2500)
Sr (0.0000, 0.0000, 0.7500)
Al (0.2597, 0.7381, 0.0000)
Al (0.2619, 0.7403, 0.5000)
Al (0.7381, 0.2597, 0.5000)
Al (0.7403, 0.2619, 0.0000)
S (0.0000, 0.5000, 0.1615)
S (0.0000, 0.5000, 0.8385)
S (0.1441, 0.3217, 0.5000)
S (0.3217, 0.1441, 0.0000)
S (0.5000, 0.0000, 0.3385)
S (0.5000, 0.0000, 0.6615)
S (0.6783, 0.8559, 0.0000)
S (0.8559, 0.6783, 0.5000)

---

Tb2Dy2HoTm2: theoretical powder diffraction line list (Cu Kα (λ = 1.5418 Å)), based on a GGA-PBE-relaxed structure.
Kinematic intensities with the Lorentz-polarization factor, no thermal factor.

Peak list (7 most intense, 5° ≤ 2θ ≤ 70°, by angle)
two_theta, d [Å], I_rel
31.78, 2.816, 100
31.91, 2.805, 99
45.66, 1.987, 37
56.53, 1.628, 19
56.81, 1.621, 58
66.40, 1.408, 12
66.70, 1.402, 12

Structural model:
a b c (Å): 8.6890 8.6890 8.6890
angles (deg): 37.66 37.66 37.66
Fractional positions:
Tb (0.1405, 0.1405, 0.1405)
Tb (0.8595, 0.8595, 0.8595)
Dy (0.2846, 0.2846, 0.2846)
Dy (0.7154, 0.7154, 0.7154)
Ho (0.0000, 0.0000, 0.0000)
Tm (0.4286, 0.4286, 0.4286)
Tm (0.5714, 0.5714, 0.5714)